Diffraction record for Cu2Ge5. The X-ray powder pattern is simulated, not measured: it uses DFT lattice parameters and positions (GGA-PBE) and Cu Kα (weighted mean of Kα1 and Kα2).
Kinematic intensities with the Lorentz-polarization factor, no thermal factor.

Most intense lines, 2θ = 10–80°, in order of falling intensity:
39.97 deg, 2.256 Å, I 100.0
40.58 deg, 2.223 Å, I 90.7
58.27 deg, 1.583 Å, I 30.2
73.00 deg, 1.296 Å, I 30.0
72.59 deg, 1.302 Å, I 16.1
74.23 deg, 1.278 Å, I 12.1
30.84 deg, 2.899 Å, I 10.1
23.13 deg, 3.845 Å, I 7.7
24.22 deg, 3.675 Å, I 7.2
37.09 deg, 2.424 Å, I 6.8

Structural model:
```
data_Cu2Ge5
_cell_length_a 7.6661
_cell_length_b 7.6661
_cell_length_c 7.6661
_cell_angle_alpha 34.22
_cell_angle_beta 34.22
_cell_angle_gamma 34.22
_space_group_name_H-M_alt 'P 1'
_space_group_IT_number 1
_space_group_name_Hall 'P 1'
loop_
_atom_site_label
_atom_site_type_symbol
_atom_site_fract_x
_atom_site_fract_y
_atom_site_fract_z
Cu1 Cu 0.0000 0.0000 0.0000
Cu2 Cu 0.4923 0.4923 0.4923
Ge1 Ge 0.2361 0.2361 0.2361
Ge2 Ge 0.3727 0.3727 0.3727
Ge3 Ge 0.6226 0.6226 0.6226
Ge4 Ge 0.7503 0.7503 0.7503
Ge5 Ge 0.8701 0.8701 0.8701
```

Diffraction record for Cu9Ge2. The X-ray powder pattern is simulated, not measured: it uses DFT lattice parameters and positions (GGA-PBE) and Cu Kα (weighted mean of Kα1 and Kα2).
Kinematic intensities with the Lorentz-polarization factor, no thermal factor.

Most intense lines, 2θ = 10–80°, in order of falling intensity:
42.31 deg, 2.136 Å, I 100.0
41.39 deg, 2.182 Å, I 75.3
48.95 deg, 1.861 Å, I 66.4
44.08 deg, 2.054 Å, I 33.5
50.63 deg, 1.803 Å, I 32.1
71.12 deg, 1.326 Å, I 30.7
10.13 deg, 8.731 Å, I 17.0
74.99 deg, 1.267 Å, I 14.7
72.37 deg, 1.306 Å, I 12.2
45.92 deg, 1.976 Å, I 7.2

Structural model:
```
data_Cu9Ge2
_cell_length_a 2.6517
_cell_length_b 2.6517
_cell_length_c 34.9233
_cell_angle_alpha 90.00
_cell_angle_beta 90.00
_cell_angle_gamma 120.00
_space_group_name_H-M_alt 'P 1'
_space_group_IT_number 1
_space_group_name_Hall 'P 1'
loop_
_atom_site_label
_atom_site_type_symbol
_atom_site_fract_x
_atom_site_fract_y
_atom_site_fract_z
Cu1 Cu 0.0000 0.0000 0.0000
Cu2 Cu 0.0000 0.0000 0.1756
Cu3 Cu 0.0000 0.0000 0.8244
Cu4 Cu 0.3333 0.6667 0.1170
Cu5 Cu 0.3333 0.6667 0.7655
Cu6 Cu 0.3333 0.6667 0.9415
Cu7 Cu 0.6667 0.3333 0.0585
Cu8 Cu 0.6667 0.3333 0.2345
Cu9 Cu 0.6667 0.3333 0.8830
Ge1 Ge 0.3333 0.6667 0.2977
Ge2 Ge 0.6667 0.3333 0.7023
```

Diffraction record for Cu17Ge. The X-ray powder pattern is simulated, not measured: it uses DFT lattice parameters and positions (GGA-PBE) and Cu Kα (weighted mean of Kα1 and Kα2).
Kinematic intensities with the Lorentz-polarization factor, no thermal factor.

Most intense lines, 2θ = 10–80°, in order of falling intensity:
43.47 deg, 2.082 Å, I 100.0
50.36 deg, 1.812 Å, I 62.4
42.56 deg, 2.124 Å, I 58.8
44.53 deg, 2.035 Å, I 32.0
74.65 deg, 1.271 Å, I 27.2
52.16 deg, 1.754 Å, I 21.8
11.10 deg, 7.969 Å, I 18.0
73.32 deg, 1.291 Å, I 17.5
48.68 deg, 1.870 Å, I 13.2
45.53 deg, 1.992 Å, I 12.5

Structural model:
```
data_Cu17Ge
_cell_length_a 5.0869
_cell_length_b 5.0869
_cell_length_c 31.8742
_cell_angle_alpha 90.00
_cell_angle_beta 90.00
_cell_angle_gamma 120.00
_space_group_name_H-M_alt 'P 1'
_space_group_IT_number 1
_space_group_name_Hall 'P 1'
loop_
_atom_site_label
_atom_site_type_symbol
_atom_site_fract_x
_atom_site_fract_y
_atom_site_fract_z
Cu1 Cu 0.0000 0.0000 0.0000
Cu2 Cu 0.0000 0.0000 0.1968
Cu3 Cu 0.0000 0.0000 0.8032
Cu4 Cu 0.0000 0.5000 0.0000
Cu5 Cu 0.0011 0.5006 0.8033
Cu6 Cu 0.1664 0.3328 0.1314
Cu7 Cu 0.1664 0.8336 0.1314
Cu8 Cu 0.1666 0.3332 0.9343
Cu9 Cu 0.1668 0.3336 0.7363
Cu10 Cu 0.1668 0.8332 0.7363
Cu11 Cu 0.1666 0.8334 0.9343
Cu12 Cu 0.3328 0.1664 0.8686
Cu13 Cu 0.3332 0.1666 0.0657
Cu14 Cu 0.3333 0.6667 0.0658
Cu15 Cu 0.3333 0.6667 0.8686
Cu16 Cu 0.3336 0.1668 0.2637
Cu17 Cu 0.4994 0.5006 0.8033
Cu18 Cu 0.4994 0.9989 0.8033
Cu19 Cu 0.5000 0.0000 0.0000
Cu20 Cu 0.5000 0.5000 0.0000
Cu21 Cu 0.5006 0.0011 0.1967
Cu22 Cu 0.5006 0.4994 0.1967
Cu23 Cu 0.6664 0.8332 0.7363
Cu24 Cu 0.6667 0.3333 0.1314
Cu25 Cu 0.6667 0.3333 0.9342
Cu26 Cu 0.6668 0.8334 0.9343
Cu27 Cu 0.6672 0.8336 0.1314
Cu28 Cu 0.8334 0.1666 0.0657
Cu29 Cu 0.8332 0.1668 0.2637
Cu30 Cu 0.8332 0.6664 0.2637
Cu31 Cu 0.8334 0.6668 0.0657
Cu32 Cu 0.8336 0.1664 0.8686
Cu33 Cu 0.8336 0.6672 0.8686
Cu34 Cu 0.9989 0.4994 0.1967
Ge1 Ge 0.3333 0.6667 0.2666
Ge2 Ge 0.6667 0.3333 0.7334
```

Diffraction record for Cu17Ge. The X-ray powder pattern is simulated, not measured: it uses DFT lattice parameters and positions (GGA-PBE) and Cu Kα (weighted mean of Kα1 and Kα2).
Kinematic intensities with the Lorentz-polarization factor, no thermal factor.

Most intense lines, 2θ = 10–80°, in order of falling intensity:
43.33 deg, 2.088 Å, I 100.0
42.48 deg, 2.128 Å, I 75.8
50.20 deg, 1.817 Å, I 62.5
43.47 deg, 2.082 Å, I 49.6
44.39 deg, 2.041 Å, I 31.6
50.39 deg, 1.811 Å, I 30.8
11.09 deg, 7.975 Å, I 26.9
73.21 deg, 1.293 Å, I 26.1
52.00 deg, 1.758 Å, I 20.7
74.56 deg, 1.273 Å, I 18.2

Structural model:
```
data_Cu17Ge
_cell_length_a 4.4032
_cell_length_b 5.1118
_cell_length_c 31.9008
_cell_angle_alpha 90.00
_cell_angle_beta 90.06
_cell_angle_gamma 90.00
_space_group_name_H-M_alt 'P 1'
_space_group_IT_number 1
_space_group_name_Hall 'P 1'
loop_
_atom_site_label
_atom_site_type_symbol
_atom_site_fract_x
_atom_site_fract_y
_atom_site_fract_z
Cu1 Cu 0.0000 0.0000 0.0000
Cu2 Cu 0.0000 0.0009 0.1970
Cu3 Cu 0.0000 0.4991 0.1970
Cu4 Cu 0.0000 0.5000 0.0000
Cu5 Cu 0.0000 0.5009 0.8030
Cu6 Cu 0.0000 0.9991 0.8030
Cu7 Cu 0.1662 0.7500 0.0657
Cu8 Cu 0.1673 0.2500 0.0657
Cu9 Cu 0.1669 0.2500 0.8684
Cu10 Cu 0.1665 0.7500 0.2638
Cu11 Cu 0.1673 0.7500 0.8689
Cu12 Cu 0.3333 0.0003 0.7363
Cu13 Cu 0.3333 0.0007 0.9344
Cu14 Cu 0.3333 0.4993 0.9344
Cu15 Cu 0.3333 0.4997 0.7363
Cu16 Cu 0.3335 0.5012 0.1313
Cu17 Cu 0.3335 0.9988 0.1313
Cu18 Cu 0.4979 0.2500 0.1964
Cu19 Cu 0.4982 0.2500 0.8026
Cu20 Cu 0.4994 0.7500 0.9999
Cu21 Cu 0.5006 0.2500 0.0001
Cu22 Cu 0.5018 0.7500 0.1974
Cu23 Cu 0.5021 0.7500 0.8036
Cu24 Cu 0.6667 0.9997 0.2637
Cu25 Cu 0.6665 0.0012 0.8687
Cu26 Cu 0.6665 0.4988 0.8687
Cu27 Cu 0.6667 0.5003 0.2637
Cu28 Cu 0.6667 0.5007 0.0656
Cu29 Cu 0.6667 0.9993 0.0656
Cu30 Cu 0.8327 0.2500 0.1311
Cu31 Cu 0.8335 0.2500 0.7362
Cu32 Cu 0.8331 0.7500 0.1316
Cu33 Cu 0.8327 0.7500 0.9343
Cu34 Cu 0.8338 0.2500 0.9343
Ge1 Ge 0.1670 0.2500 0.2678
Ge2 Ge 0.8330 0.7500 0.7322
```

Diffraction record for Cu7Ge2. The X-ray powder pattern is simulated, not measured: it uses DFT lattice parameters and positions (GGA-PBE) and Cu Kα (weighted mean of Kα1 and Kα2).
Kinematic intensities with the Lorentz-polarization factor, no thermal factor.

Most intense lines, 2θ = 10–80°, in order of falling intensity:
41.92 deg, 2.155 Å, I 100.0
40.85 deg, 2.209 Å, I 52.2
48.11 deg, 1.891 Å, I 48.6
50.07 deg, 1.822 Å, I 45.8
42.89 deg, 2.109 Å, I 29.5
70.47 deg, 1.336 Å, I 29.2
73.39 deg, 1.290 Å, I 17.6
11.99 deg, 7.380 Å, I 14.6
46.12 deg, 1.968 Å, I 12.7
44.65 deg, 2.029 Å, I 8.5

Structural model:
```
data_Cu7Ge2
_cell_length_a 2.6731
_cell_length_b 2.6731
_cell_length_c 29.5212
_cell_angle_alpha 90.00
_cell_angle_beta 90.00
_cell_angle_gamma 120.00
_space_group_name_H-M_alt 'P 1'
_space_group_IT_number 1
_space_group_name_Hall 'P 1'
loop_
_atom_site_label
_atom_site_type_symbol
_atom_site_fract_x
_atom_site_fract_y
_atom_site_fract_z
Cu1 Cu 0.0000 0.0000 0.0000
Cu2 Cu 0.0000 0.0000 0.2079
Cu3 Cu 0.0000 0.0000 0.7921
Cu4 Cu 0.3333 0.6667 0.1384
Cu5 Cu 0.3333 0.6667 0.9308
Cu6 Cu 0.6667 0.3333 0.0692
Cu7 Cu 0.6667 0.3333 0.8616
Ge1 Ge 0.3333 0.6667 0.7173
Ge2 Ge 0.6667 0.3333 0.2827
```

Diffraction record for Hf3Cu4Ge4. The X-ray powder pattern is simulated, not measured: it uses DFT lattice parameters and positions (GGA-PBE) and Cu Kα (weighted mean of Kα1 and Kα2).
Kinematic intensities with the Lorentz-polarization factor, no thermal factor.

Most intense lines, 2θ = 10–80°, in order of falling intensity:
37.99 deg, 2.368 Å, I 100.0
43.38 deg, 2.086 Å, I 54.9
37.51 deg, 2.398 Å, I 39.7
35.99 deg, 2.496 Å, I 34.9
44.65 deg, 2.030 Å, I 34.1
59.69 deg, 1.549 Å, I 20.4
12.13 deg, 7.295 Å, I 19.2
72.17 deg, 1.309 Å, I 14.9
18.50 deg, 4.795 Å, I 14.9
13.92 deg, 6.363 Å, I 13.3

Structural model:
```
data_Hf3Cu4Ge4
_cell_length_a 6.3634
_cell_length_b 4.0592
_cell_length_c 7.2949
_cell_angle_alpha 90.00
_cell_angle_beta 90.05
_cell_angle_gamma 90.00
_space_group_name_H-M_alt 'P 1'
_space_group_IT_number 1
_space_group_name_Hall 'P 1'
loop_
_atom_site_label
_atom_site_type_symbol
_atom_site_fract_x
_atom_site_fract_y
_atom_site_fract_z
Hf1 Hf 0.0000 0.0000 0.0000
Hf2 Hf 0.0184 0.5000 0.5823
Hf3 Hf 0.4993 0.0000 0.0811
Cu1 Cu 0.1843 0.5000 0.2212
Cu2 Cu 0.3403 0.0000 0.7132
Cu3 Cu 0.6866 0.5000 0.8630
Cu4 Cu 0.8301 0.0000 0.3693
Ge1 Ge 0.2531 0.0000 0.3937
Ge2 Ge 0.2785 0.5000 0.8937
Ge3 Ge 0.7384 0.0000 0.6940
Ge4 Ge 0.7711 0.5000 0.2005
```

Diffraction record for Hf2ZrCu4Ge4. The X-ray powder pattern is simulated, not measured: it uses DFT lattice parameters and positions (GGA-PBE) and Cu Kα (weighted mean of Kα1 and Kα2).
Kinematic intensities with the Lorentz-polarization factor, no thermal factor.

Most intense lines, 2θ = 10–80°, in order of falling intensity:
37.80 deg, 2.380 Å, I 100.0
36.14 deg, 2.485 Å, I 99.3
45.40 deg, 1.998 Å, I 38.4
36.47 deg, 2.464 Å, I 33.0
46.43 deg, 1.956 Å, I 25.9
40.73 deg, 2.215 Å, I 22.9
41.08 deg, 2.197 Å, I 21.0
15.10 deg, 5.867 Å, I 18.3
66.96 deg, 1.397 Å, I 16.7
59.58 deg, 1.552 Å, I 15.6

Structural model:
```
data_Hf2ZrCu4Ge4
_cell_length_a 7.6744
_cell_length_b 7.6744
_cell_length_c 7.6744
_cell_angle_alpha 149.83
_cell_angle_beta 129.58
_cell_angle_gamma 59.89
_space_group_name_H-M_alt 'P 1'
_space_group_IT_number 1
_space_group_name_Hall 'P 1'
loop_
_atom_site_label
_atom_site_type_symbol
_atom_site_fract_x
_atom_site_fract_y
_atom_site_fract_z
Hf1 Hf 0.1237 0.1237 0.0000
Hf2 Hf 0.8763 0.8763 0.0000
Zr1 Zr 0.5000 0.0000 0.5000
Cu1 Cu 0.1361 0.3294 0.8067
Cu2 Cu 0.4773 0.6706 0.8067
Cu3 Cu 0.5227 0.3294 0.1933
Cu4 Cu 0.8639 0.6706 0.1933
Ge1 Ge 0.1978 0.5000 0.6978
Ge2 Ge 0.2829 0.7829 0.5000
Ge3 Ge 0.7171 0.2171 0.5000
Ge4 Ge 0.8022 0.5000 0.3022
```

Diffraction record for Cu2HgGeSe2S2. The X-ray powder pattern is simulated, not measured: it uses DFT lattice parameters and positions (GGA-PBE) and Cu Kα (weighted mean of Kα1 and Kα2).
Kinematic intensities with the Lorentz-polarization factor, no thermal factor.

Most intense lines, 2θ = 10–80°, in order of falling intensity:
27.65 deg, 3.226 Å, I 100.0
27.34 deg, 3.262 Å, I 89.1
44.91 deg, 2.018 Å, I 42.3
46.08 deg, 1.970 Å, I 39.7
53.65 deg, 1.708 Å, I 22.6
45.61 deg, 1.989 Å, I 21.0
46.41 deg, 1.957 Å, I 18.5
53.44 deg, 1.715 Å, I 17.5
55.20 deg, 1.664 Å, I 16.0
17.56 deg, 5.049 Å, I 15.5

Structural model:
```
data_Cu2HgGeSe2S2
_cell_length_a 6.7461
_cell_length_b 6.7461
_cell_length_c 5.7180
_cell_angle_alpha 114.24
_cell_angle_beta 114.24
_cell_angle_gamma 49.99
_space_group_name_H-M_alt 'P 1'
_space_group_IT_number 1
_space_group_name_Hall 'P 1'
loop_
_atom_site_label
_atom_site_type_symbol
_atom_site_fract_x
_atom_site_fract_y
_atom_site_fract_z
Cu1 Cu 0.2501 0.2501 0.2241
Cu2 Cu 0.7499 0.7499 0.7759
Hg1 Hg 0.0068 0.9932 0.5000
Ge1 Ge 0.4842 0.5158 0.0000
Se1 Se 0.5828 0.1384 0.6326
Se2 Se 0.8616 0.4172 0.3674
S1 S 0.1324 0.5990 0.0927
S2 S 0.4010 0.8676 0.9073
```

Diffraction record for Cu2HgGeTe2S2. The X-ray powder pattern is simulated, not measured: it uses DFT lattice parameters and positions (GGA-PBE) and Cu Kα (weighted mean of Kα1 and Kα2).
Kinematic intensities with the Lorentz-polarization factor, no thermal factor.

Most intense lines, 2θ = 10–80°, in order of falling intensity:
26.46 deg, 3.368 Å, I 100.0
44.27 deg, 2.046 Å, I 43.3
51.33 deg, 1.780 Å, I 30.5
43.14 deg, 2.097 Å, I 25.7
34.14 deg, 2.626 Å, I 19.0
21.19 deg, 4.193 Å, I 16.6
53.28 deg, 1.719 Å, I 13.5
79.90 deg, 1.201 Å, I 13.4
38.40 deg, 2.344 Å, I 11.1
70.88 deg, 1.330 Å, I 10.5

Structural model:
```
data_Cu2HgGeTe2S2
_cell_length_a 7.0397
_cell_length_b 7.0394
_cell_length_c 5.9309
_cell_angle_alpha 65.09
_cell_angle_beta 65.08
_cell_angle_gamma 49.83
_space_group_name_H-M_alt 'P 1'
_space_group_IT_number 1
_space_group_name_Hall 'P 1'
loop_
_atom_site_label
_atom_site_type_symbol
_atom_site_fract_x
_atom_site_fract_y
_atom_site_fract_z
Cu1 Cu 0.0000 0.0000 0.5000
Cu2 Cu 0.5000 0.5000 0.0000
Hg1 Hg 0.2224 0.2224 0.7776
Ge1 Ge 0.7115 0.7115 0.2885
Te1 Te 0.0990 0.6360 0.3640
Te2 Te 0.6360 0.0990 0.9010
S1 S 0.3674 0.8153 0.6326
S2 S 0.8153 0.3674 0.1847
```

Diffraction record for CuHg2GeSe4. The X-ray powder pattern is simulated, not measured: it uses DFT lattice parameters and positions (GGA-PBE) and Cu Kα (weighted mean of Kα1 and Kα2).
Kinematic intensities with the Lorentz-polarization factor, no thermal factor.

Most intense lines, 2θ = 10–80°, in order of falling intensity:
25.58 deg, 3.482 Å, I 100.0
42.35 deg, 2.134 Å, I 47.0
50.25 deg, 1.816 Å, I 31.5
42.48 deg, 2.128 Å, I 24.2
77.64 deg, 1.230 Å, I 15.5
50.03 deg, 1.823 Å, I 15.2
20.87 deg, 4.256 Å, I 12.7
33.25 deg, 2.695 Å, I 12.5
67.67 deg, 1.385 Å, I 12.3
14.63 deg, 6.053 Å, I 8.2

Structural model:
```
data_CuHg2GeSe4
_cell_length_a 7.3997
_cell_length_b 7.3997
_cell_length_c 7.3997
_cell_angle_alpha 132.00
_cell_angle_beta 132.00
_cell_angle_gamma 70.23
_space_group_name_H-M_alt 'P 1'
_space_group_IT_number 1
_space_group_name_Hall 'P 1'
loop_
_atom_site_label
_atom_site_type_symbol
_atom_site_fract_x
_atom_site_fract_y
_atom_site_fract_z
Cu1 Cu 0.0000 0.0000 0.0000
Hg1 Hg 0.2500 0.7500 0.5000
Hg2 Hg 0.7500 0.2500 0.5000
Ge1 Ge 0.5000 0.5000 0.0000
Se1 Se 0.1283 0.6499 0.0000
Se2 Se 0.3501 0.3501 0.4784
Se3 Se 0.6499 0.1283 0.0000
Se4 Se 0.8717 0.8717 0.5216
```